Diffraction record for K4Mg3VF12. The XRD peak list is calculated, not measured: it uses a GGA+U-relaxed structure and λ = 1.5418 Å (Cu Kα).
Intensities are scaled so that the largest is 100.

Top 10 peaks for 2θ = 15–90°, in order of rising 2θ:
2theta	I/Imax	index
15.31	6	1 1 0
30.91	96	2 2 0
38.10	57	2 2 2
44.28	100	4 0 0
54.97	34	4 2 2
64.41	53	4 4 0
73.15	15	6 2 0
77.35	12	6 2 2
81.49	16	4 4 4
89.66	17	6 4 2

Unit cell a=8.183 b=8.183 c=8.183 alpha=90.00 beta=90.00 gamma=90.00
Space group Im-3m (No. 229)
Asymmetric unit:
K (0.250, 0.250, 0.250) [8 per cell]
Mg (0.000, 0.000, 0.500) [6 per cell]
V (0.000, 0.000, 0.000) [2 per cell]
F (0.000, 0.000, 0.257) [12 per cell]
F (0.000, 0.250, 0.500) [12 per cell]